This entry pairs a crystal structure of Sm4Ho8Mg with its simulated PXRD pattern. Radiation: copper Kα. Structure: a crystal structure in Alexandria, relaxed with PBE.
Kinematic intensities with the Lorentz-polarization factor, no thermal factor.

Top 10 peaks for 2θ = 10–90°, sorted by position:
d 4.456, 2θ 19.92, I 21
d 3.859, 2θ 23.05, I 15
d 2.729, 2θ 32.82, I 100
d 2.327, 2θ 38.69, I 11
d 1.930, 2θ 47.10, I 18
d 1.771, 2θ 51.62, I 5
d 1.726, 2θ 53.06, I 6
d 1.576, 2θ 58.59, I 38
d 1.364, 2θ 68.81, I 11
d 1.220, 2θ 78.35, I 16

Crystal structure
Lattice parameters (Å, degrees): 7.718 7.718 7.718 90.00 90.00 90.00
Space group Pm-3m (No. 221)
Symmetry-distinct sites (fractional):
Sm  0.000  0.000  0.000 (multiplicity 1)
Sm  0.000  0.500  0.500 (multiplicity 3)
Ho  0.243  0.243  0.243 (multiplicity 8)
Mg  0.500  0.500  0.500 (multiplicity 1)